Starting from a crystal structure in the Materials Project, relaxed with PBE, the powder diffraction line list of Li2BiO3 was computed for Cu Kα.
Peak positions follow from Bragg's law for the DFT cell and can differ from measured ones.

Structure:
```
data_Li2BiO3
_chemical_formula_sum 'Li8 Bi4 O12'
_space_group_name_H-M_alt 'C m c 21'
_space_group_IT_number 36
_space_group_name_Hall 'C 2c -2'
_cell_length_a 10.131
_cell_length_b 5.737
_cell_length_c 5.603
_cell_angle_alpha 90.00
_cell_angle_beta 90.00
_cell_angle_gamma 90.00
loop_
_atom_site_label
_atom_site_fract_x
_atom_site_fract_y
_atom_site_fract_z
_atom_site_occupancy
Li1 0.180 0.173 0.000 1
Bi1 0.000 0.291 0.496 1
O1 0.000 0.345 0.097 1
O2 0.171 0.146 0.642 1
```

Most intense lines, 10 to 80 degrees two-theta, low angle first:
- 2θ 17.5, 5.066 Å, I 54, hkl 2 0 0
- 2θ 23.9, 3.727 Å, I 100, hkl 1 1 1
- 2θ 31.2, 2.868 Å, I 14, hkl 0 2 0
- 2θ 31.9, 2.802 Å, I 16, hkl 0 0 2
- 2θ 34.7, 2.583 Å, I 36, hkl 3 1 1
- 2θ 36.0, 2.496 Å, I 15, hkl 2 2 0
- 2θ 36.7, 2.452 Å, I 20, hkl 2 0 2
- 2θ 48.4, 1.879 Å, I 14, hkl 4 0 2
- 2θ 50.5, 1.808 Å, I 14, hkl 5 1 1
- 2θ 58.7, 1.572 Å, I 21, hkl 3 1 3


Starting from a crystal structure in the Materials Project, relaxed with PBE, the powder diffraction line list of Li2BiO3 was computed for Cu Kα.
Peak positions follow from Bragg's law for the DFT cell and can differ from measured ones.

Structure:
```
data_Li2BiO3
_chemical_formula_sum 'Li8 Bi4 O12'
_space_group_name_H-M_alt 'C 1 c 1'
_space_group_IT_number 9
_space_group_name_Hall 'C -2yc'
_cell_length_a 5.590
_cell_length_b 9.546
_cell_length_c 5.665
_cell_angle_alpha 90.00
_cell_angle_beta 111.07
_cell_angle_gamma 90.00
loop_
_atom_site_label
_atom_site_fract_x
_atom_site_fract_y
_atom_site_fract_z
_atom_site_occupancy
Li1 0.000 0.076 0.000 1
Li2 0.488 0.256 0.002 1
Bi1 0.498 0.090 0.507 1
O1 0.243 0.423 0.762 1
O2 0.250 0.250 0.254 1
O3 0.255 0.078 0.756 1
```

Most intense lines, 10 to 80 degrees two-theta, low angle first:
- 2θ 18.6, 4.773 Å, I 14, hkl 0 2 0
- 2θ 19.4, 4.578 Å, I 100, hkl 1 1 0
- 2θ 21.3, 4.173 Å, I 33, hkl 1 1 -1
- 2θ 25.1, 3.543 Å, I 64, hkl 0 2 1
- 2θ 29.6, 3.021 Å, I 14, hkl 1 1 1
- 2θ 33.4, 2.685 Å, I 26, hkl 1 1 -2
- 2θ 34.2, 2.624 Å, I 24, hkl 1 3 -1
- 2θ 37.6, 2.394 Å, I 22, hkl 2 2 -1
- 2θ 38.8, 2.320 Å, I 22, hkl 2 0 -2
- 2θ 40.1, 2.251 Å, I 39, hkl 1 3 1


Starting from a crystal structure in the Materials Project, relaxed with PBE, the powder diffraction line list of Li2BiO3 was computed for Cu Kα.
Peak positions follow from Bragg's law for the DFT cell and can differ from measured ones.

Structure:
```
data_Li2BiO3
_chemical_formula_sum 'Li4 Bi2 O6'
_space_group_name_H-M_alt 'C m m m'
_space_group_IT_number 65
_space_group_name_Hall '-C 2 2'
_cell_length_a 4.441
_cell_length_b 9.938
_cell_length_c 3.464
_cell_angle_alpha 90.00
_cell_angle_beta 90.00
_cell_angle_gamma 90.00
loop_
_atom_site_label
_atom_site_fract_x
_atom_site_fract_y
_atom_site_fract_z
_atom_site_occupancy
Li1 0.000 0.156 0.000 1
Bi1 0.000 0.500 0.500 1
O1 0.000 0.000 0.500 1
O2 0.000 0.352 0.000 1
```

Most intense lines, 10 to 80 degrees two-theta, low angle first:
- 2θ 17.8, 4.969 Å, I 85, hkl 0 2 0
- 2θ 21.9, 4.055 Å, I 100, hkl 1 1 0
- 2θ 25.7, 3.464 Å, I 26, hkl 0 0 1
- 2θ 31.5, 2.842 Å, I 56, hkl 0 2 1
- 2θ 33.8, 2.655 Å, I 23, hkl 1 3 0
- 2θ 34.0, 2.634 Å, I 50, hkl 1 1 1
- 2θ 42.9, 2.107 Å, I 38, hkl 1 3 1
- 2θ 44.9, 2.019 Å, I 25, hkl 0 4 1
- 2θ 52.3, 1.750 Å, I 27, hkl 2 2 1
- 2θ 62.1, 1.494 Å, I 24, hkl 2 4 1


Starting from a crystal structure in the Materials Project, relaxed with PBE, the powder diffraction line list of Li4Bi3O8 was computed for Cu Kα.
Peak positions follow from Bragg's law for the DFT cell and can differ from measured ones.

Structure:
```
data_Li4Bi3O8
_chemical_formula_sum 'Li8 Bi6 O16'
_space_group_name_H-M_alt 'P 1 21/m 1'
_space_group_IT_number 11
_space_group_name_Hall '-P 2yb'
_cell_length_a 6.561
_cell_length_b 4.252
_cell_length_c 14.073
_cell_angle_alpha 90.00
_cell_angle_beta 90.81
_cell_angle_gamma 90.00
loop_
_atom_site_label
_atom_site_fract_x
_atom_site_fract_y
_atom_site_fract_z
_atom_site_occupancy
Li1 0.034 0.250 0.176 1
Li2 0.201 0.250 0.895 1
Li3 0.388 0.250 0.459 1
Li4 0.411 0.750 0.817 1
Bi1 0.155 0.750 0.586 1
Bi2 0.311 0.750 0.306 1
Bi3 0.313 0.750 0.051 1
O1 0.086 0.750 0.155 1
O2 0.105 0.250 0.549 1
O3 0.120 0.250 0.313 1
O4 0.188 0.750 0.915 1
O5 0.361 0.750 0.464 1
O6 0.370 0.250 0.034 1
O7 0.433 0.750 0.675 1
O8 0.475 0.250 0.832 1
```

Most intense lines, 10 to 80 degrees two-theta, low angle first:
- 2θ 15.0, 5.914 Å, I 48, hkl 1 0 1
- 2θ 18.9, 4.691 Å, I 24, hkl 0 0 3
- 2θ 25.0, 3.568 Å, I 100, hkl 1 1 0
- 2θ 29.0, 3.082 Å, I 44, hkl 1 0 4
- 2θ 31.4, 2.850 Å, I 28, hkl 1 1 -3
- 2θ 33.1, 2.709 Å, I 60, hkl 2 0 -3
- 2θ 42.5, 2.126 Å, I 24, hkl 0 2 0
- 2θ 43.5, 2.078 Å, I 24, hkl 2 1 4
- 2θ 47.1, 1.930 Å, I 20, hkl 1 0 -7
- 2θ 52.3, 1.750 Å, I 20, hkl 1 2 4


Starting from a crystal structure in the Materials Project, relaxed with PBE, the powder diffraction line list of Li6Bi2O7 was computed for Cu Kα.
Peak positions follow from Bragg's law for the DFT cell and can differ from measured ones.

Structure:
```
data_Li6Bi2O7
_chemical_formula_sum 'Li12 Bi4 O14'
_space_group_name_H-M_alt 'P 1 21/c 1'
_space_group_IT_number 14
_space_group_name_Hall '-P 2ybc'
_cell_length_a 5.593
_cell_length_b 6.308
_cell_length_c 10.891
_cell_angle_alpha 90.00
_cell_angle_beta 109.37
_cell_angle_gamma 90.00
loop_
_atom_site_label
_atom_site_fract_x
_atom_site_fract_y
_atom_site_fract_z
_atom_site_occupancy
Li1 0.155 0.009 0.121 1
Li2 0.202 0.215 0.351 1
Li3 0.214 0.740 0.860 1
Bi1 0.270 0.010 0.632 1
O1 0.020 0.748 0.006 1
O2 0.030 0.014 0.754 1
O3 0.464 0.198 0.225 1
O4 0.500 0.000 0.500 1
```

Most intense lines, 10 to 80 degrees two-theta, low angle first:
- 2θ 16.5, 5.376 Å, I 100, hkl 0 1 1
- 2θ 19.7, 4.502 Å, I 71, hkl 1 0 -2
- 2θ 21.5, 4.142 Å, I 39, hkl 1 1 -1
- 2θ 25.6, 3.476 Å, I 55, hkl 1 1 1
- 2θ 28.0, 3.190 Å, I 25, hkl 1 0 2
- 2θ 28.3, 3.154 Å, I 26, hkl 0 2 0
- 2θ 29.7, 3.010 Å, I 27, hkl 0 1 3
- 2θ 34.7, 2.583 Å, I 22, hkl 1 2 -2
- 2θ 40.1, 2.251 Å, I 21, hkl 2 0 -4
- 2θ 40.2, 2.243 Å, I 38, hkl 1 2 2


Starting from a crystal structure in the Materials Project, relaxed with PBE, the powder diffraction line list of Li7BiO6 was computed for Cu Kα.
Peak positions follow from Bragg's law for the DFT cell and can differ from measured ones.

Structure:
```
data_Li7BiO6
_chemical_formula_sum 'Li7 Bi1 O6'
_space_group_name_H-M_alt 'P 1'
_space_group_IT_number 1
_space_group_name_Hall 'P 1'
_cell_length_a 5.530
_cell_length_b 5.584
_cell_length_c 6.047
_cell_angle_alpha 63.56
_cell_angle_beta 64.55
_cell_angle_gamma 60.94
loop_
_atom_site_label
_atom_site_fract_x
_atom_site_fract_y
_atom_site_fract_z
_atom_site_occupancy
Li1 0.000 0.000 0.000 1
Li2 0.034 0.744 0.758 1
Li3 0.155 0.483 0.439 1
Li4 0.332 0.340 0.008 1
Li5 0.440 0.082 0.740 1
Li6 0.638 0.591 0.003 1
Li7 0.886 0.184 0.376 1
Bi1 0.537 0.828 0.392 1
O1 0.150 0.071 0.622 1
O2 0.310 0.946 0.120 1
O3 0.409 0.468 0.629 1
O4 0.620 0.221 0.172 1
O5 0.772 0.766 0.628 1
O6 0.926 0.604 0.144 1
```

Most intense lines, 10 to 80 degrees two-theta, low angle first:
- 2θ 17.0, 5.209 Å, I 63, hkl 0 0 1
- 2θ 19.1, 4.653 Å, I 100, hkl 0 1 0
- 2θ 19.5, 4.548 Å, I 44, hkl 1 1 1
- 2θ 21.5, 4.134 Å, I 74, hkl 1 1 0
- 2θ 21.9, 4.063 Å, I 39, hkl 1 0 1
- 2θ 29.9, 2.992 Å, I 17, hkl 1 1 2
- 2θ 36.0, 2.495 Å, I 21, hkl -1 1 1
- 2θ 36.3, 2.473 Å, I 26, hkl 1 2 0
- 2θ 37.3, 2.413 Å, I 28, hkl 2 1 2
- 2θ 37.9, 2.377 Å, I 16, hkl 2 2 1